Record 1
Structure and computed powder diffractogram of LiBC (a PBE-relaxed structure; copper Kα).
No peak broadening, texture or thermal motion is included.

a b c (Å): 2.749 2.749 7.020
angles (deg): 90.00 90.00 120.00
Atoms (fractional coordinates):
1 Li 0.000 0.000 0.000
2 Li 0.000 0.000 0.500
3 B 0.333 0.667 0.250
4 B 0.667 0.333 0.750
5 C 0.333 0.667 0.750
6 C 0.667 0.333 0.250

Main lines, most intense first (10 to 90 degrees two-theta):
25.38 deg, I 100; 46.07 deg, I 82; 68.23 deg, I 26; 52.12 deg, I 23; 86.29 deg, I 11; 74.07 deg, I 9; 37.79 deg, I 6; 39.99 deg, I 3; 82.44 deg, I 1; 66.15 deg, I 1

Record 2
Structure and computed powder diffractogram of LiBC4O8 (a PBE-relaxed structure; copper Kα).
No peak broadening, texture or thermal motion is included.

a b c (Å): 6.532 7.666 13.466
angles (deg): 90.00 90.00 90.00
Atoms (fractional coordinates):
1 Li 0.028 0.250 0.182
2 Li 0.472 0.750 0.682
3 Li 0.528 0.250 0.318
4 Li 0.972 0.750 0.818
5 B 0.097 0.250 0.542
6 B 0.403 0.750 0.042
7 B 0.597 0.250 0.958
8 B 0.903 0.750 0.458
9 C 0.081 0.750 0.605
10 C 0.146 0.649 0.144
11 C 0.146 0.851 0.144
12 C 0.232 0.750 0.519
13 C 0.268 0.250 0.019
14 C 0.354 0.149 0.644
15 C 0.354 0.351 0.644
16 C 0.419 0.250 0.105
17 C 0.581 0.750 0.895
18 C 0.646 0.649 0.356
19 C 0.646 0.851 0.356
20 C 0.732 0.750 0.981
21 C 0.768 0.250 0.481
22 C 0.854 0.149 0.856
23 C 0.854 0.351 0.856
24 C 0.919 0.250 0.395
25 O 0.030 0.551 0.188
26 O 0.030 0.949 0.188
27 O 0.082 0.250 0.029
28 O 0.107 0.250 0.430
29 O 0.127 0.750 0.435
30 O 0.135 0.750 0.693
31 O 0.201 0.098 0.584
32 O 0.201 0.402 0.584
33 O 0.299 0.598 0.084
34 O 0.299 0.902 0.084
35 O 0.365 0.250 0.193
36 O 0.373 0.250 0.935
37 O 0.393 0.750 0.930
38 O 0.418 0.750 0.529
39 O 0.470 0.051 0.688
40 O 0.470 0.449 0.688
41 O 0.530 0.551 0.312
42 O 0.530 0.949 0.312
43 O 0.582 0.250 0.471
44 O 0.607 0.250 0.070
45 O 0.627 0.750 0.065
46 O 0.635 0.750 0.807
47 O 0.701 0.098 0.916
48 O 0.701 0.402 0.916
49 O 0.799 0.598 0.416
50 O 0.799 0.902 0.416
51 O 0.865 0.250 0.307
52 O 0.873 0.250 0.565
53 O 0.893 0.750 0.570
54 O 0.918 0.750 0.971
55 O 0.970 0.051 0.812
56 O 0.970 0.449 0.812

Main lines, most intense first (10 to 90 degrees two-theta):
18.93 deg, I 100; 23.21 deg, I 49; 26.76 deg, I 45; 13.15 deg, I 37; 35.77 deg, I 30; 38.41 deg, I 26; 27.79 deg, I 21; 24.06 deg, I 20; 32.64 deg, I 20; 32.11 deg, I 19

Record 3
Structure and computed powder diffractogram of Li2BPCO7 (a PBE-relaxed structure; copper Kα).
No peak broadening, texture or thermal motion is included.

a b c (Å): 5.409 5.059 9.428
angles (deg): 90.00 101.91 90.00
Atoms (fractional coordinates):
1 Li 0.189 0.002 0.295
2 Li 0.189 0.498 0.295
3 Li 0.811 0.502 0.705
4 Li 0.811 0.998 0.705
5 B 0.438 0.750 0.834
6 B 0.562 0.250 0.166
7 P 0.208 0.250 0.920
8 P 0.792 0.750 0.080
9 C 0.231 0.750 0.576
10 C 0.769 0.250 0.424
11 O 0.024 0.750 0.617
12 O 0.075 0.750 0.133
13 O 0.262 0.750 0.447
14 O 0.292 0.250 0.090
15 O 0.317 0.502 0.864
16 O 0.317 0.998 0.864
17 O 0.455 0.750 0.679
18 O 0.545 0.250 0.321
19 O 0.683 0.002 0.136
20 O 0.683 0.498 0.136
21 O 0.708 0.750 0.910
22 O 0.738 0.250 0.553
23 O 0.925 0.250 0.867
24 O 0.976 0.250 0.383

Main lines, most intense first (10 to 90 degrees two-theta):
24.88 deg, I 100; 26.14 deg, I 25; 28.91 deg, I 18; 35.49 deg, I 17; 17.51 deg, I 13; 39.06 deg, I 13; 27.49 deg, I 12; 53.97 deg, I 12; 28.16 deg, I 12; 51.03 deg, I 8

Record 4
Structure and computed powder diffractogram of LiB12PC (a PBE-relaxed structure; copper Kα).
No peak broadening, texture or thermal motion is included.

a b c (Å): 7.127 7.127 7.127
angles (deg): 132.22 110.34 88.89
Atoms (fractional coordinates):
1 Li 0.067 0.250 0.317
2 Li 0.933 0.750 0.683
3 B 0.097 0.275 0.997
4 B 0.097 0.600 0.322
5 B 0.116 0.336 0.795
6 B 0.116 0.821 0.280
7 B 0.132 0.666 0.966
8 B 0.246 0.587 0.159
9 B 0.278 0.100 0.003
10 B 0.278 0.775 0.678
11 B 0.309 0.832 0.977
12 B 0.427 0.087 0.841
13 B 0.469 0.173 0.309
14 B 0.469 0.660 0.796
15 B 0.541 0.321 0.205
16 B 0.541 0.836 0.720
17 B 0.588 0.909 0.180
18 B 0.700 0.166 0.034
19 B 0.727 0.218 0.325
20 B 0.727 0.901 0.008
21 B 0.729 0.409 0.820
22 B 0.855 0.332 0.023
23 B 0.864 0.160 0.691
24 B 0.864 0.673 0.204
25 B 0.893 0.401 0.675
26 B 0.893 0.718 0.992
27 P 0.300 0.170 0.630
28 P 0.540 0.670 0.370
29 C 0.481 0.353 0.627
30 C 0.726 0.853 0.373

Main lines, most intense first (10 to 90 degrees two-theta):
13.93 deg, I 100; 28.22 deg, I 98; 35.77 deg, I 55; 40.80 deg, I 53; 34.14 deg, I 48; 17.43 deg, I 43; 25.78 deg, I 36; 35.28 deg, I 26; 71.32 deg, I 21; 42.62 deg, I 19

Record 5
Structure and computed powder diffractogram of LuB2C2 (a PBE-relaxed structure; copper Kα).
No peak broadening, texture or thermal motion is included.

a b c (Å): 3.778 3.778 6.931
angles (deg): 90.00 90.00 90.00
Atoms (fractional coordinates):
1 Lu 0.000 0.000 0.250
2 Lu 0.000 0.000 0.750
3 B 0.215 0.500 0.000
4 B 0.500 0.215 0.500
5 B 0.500 0.785 0.500
6 B 0.785 0.500 0.000
7 C 0.188 0.500 0.500
8 C 0.500 0.188 0.000
9 C 0.500 0.812 0.000
10 C 0.812 0.500 0.500

Main lines, most intense first (10 to 90 degrees two-theta):
35.14 deg, I 100; 23.55 deg, I 100; 42.74 deg, I 57; 33.55 deg, I 43; 54.30 deg, I 30; 61.02 deg, I 29; 25.71 deg, I 27; 55.40 deg, I 23; 79.19 deg, I 20; 48.18 deg, I 19

Record 6
Structure and computed powder diffractogram of Lu3BC3 (a PBE-relaxed structure; copper Kα).
No peak broadening, texture or thermal motion is included.

a b c (Å): 3.536 3.536 15.708
angles (deg): 90.00 90.00 90.39
Atoms (fractional coordinates):
1 Lu 0.084 0.916 0.604
2 Lu 0.084 0.916 0.896
3 Lu 0.410 0.590 0.250
4 Lu 0.590 0.410 0.750
5 Lu 0.916 0.084 0.104
6 Lu 0.916 0.084 0.396
7 B 0.500 0.500 0.000
8 B 0.500 0.500 0.500
9 C 0.098 0.902 0.750
10 C 0.404 0.596 0.088
11 C 0.404 0.596 0.412
12 C 0.596 0.404 0.588
13 C 0.596 0.404 0.912
14 C 0.902 0.098 0.250

Main lines, most intense first (10 to 90 degrees two-theta):
34.12 deg, I 100; 30.51 deg, I 47; 36.04 deg, I 43; 27.67 deg, I 43; 36.26 deg, I 35; 34.25 deg, I 31; 61.06 deg, I 27; 52.06 deg, I 25; 54.88 deg, I 21; 63.56 deg, I 21

Record 7
Structure and computed powder diffractogram of LuB2C (a PBE-relaxed structure; copper Kα).
No peak broadening, texture or thermal motion is included.

a b c (Å): 6.734 6.734 7.195
angles (deg): 90.00 90.00 90.00
Atoms (fractional coordinates):
1 Lu 0.191 0.309 0.250
2 Lu 0.191 0.309 0.750
3 Lu 0.309 0.809 0.250
4 Lu 0.309 0.809 0.750
5 Lu 0.691 0.191 0.250
6 Lu 0.691 0.191 0.750
7 Lu 0.809 0.691 0.250
8 Lu 0.809 0.691 0.750
9 B 0.034 0.847 0.000
10 B 0.093 0.597 0.000
11 B 0.097 0.593 0.500
12 B 0.153 0.034 0.500
13 B 0.347 0.534 0.500
14 B 0.403 0.093 0.500
15 B 0.407 0.097 0.000
16 B 0.466 0.347 0.000
17 B 0.534 0.653 0.000
18 B 0.593 0.903 0.000
19 B 0.597 0.907 0.500
20 B 0.653 0.466 0.500
21 B 0.847 0.966 0.500
22 B 0.903 0.407 0.500
23 B 0.907 0.403 0.000
24 B 0.966 0.153 0.000
25 C 0.040 0.822 0.500
26 C 0.178 0.040 0.000
27 C 0.322 0.540 0.000
28 C 0.460 0.322 0.500
29 C 0.540 0.678 0.500
30 C 0.678 0.460 0.000
31 C 0.822 0.960 0.000
32 C 0.960 0.178 0.500

Main lines, most intense first (10 to 90 degrees two-theta):
39.00 deg, I 100; 29.66 deg, I 82; 36.55 deg, I 82; 26.47 deg, I 76; 24.75 deg, I 63; 62.45 deg, I 45; 56.33 deg, I 38; 58.13 deg, I 32; 79.22 deg, I 28; 45.69 deg, I 25

Record 8
Structure and computed powder diffractogram of LuB2C2 (a PBE-relaxed structure; copper Kα).
No peak broadening, texture or thermal motion is included.

a b c (Å): 5.319 5.319 3.439
angles (deg): 90.00 90.00 90.00
Atoms (fractional coordinates):
1 Lu 0.000 0.000 0.000
2 Lu 0.500 0.500 0.000
3 B 0.136 0.364 0.500
4 B 0.364 0.864 0.500
5 B 0.636 0.136 0.500
6 B 0.864 0.636 0.500
7 C 0.163 0.663 0.500
8 C 0.337 0.163 0.500
9 C 0.663 0.837 0.500
10 C 0.837 0.337 0.500

Main lines, most intense first (10 to 90 degrees two-theta):
23.65 deg, I 100; 35.37 deg, I 99; 42.99 deg, I 57; 33.70 deg, I 42; 54.56 deg, I 30; 61.36 deg, I 29; 25.91 deg, I 27; 55.71 deg, I 23; 79.76 deg, I 20; 48.40 deg, I 19

Record 9
Structure and computed powder diffractogram of LuB2C (a PBE-relaxed structure; copper Kα).
No peak broadening, texture or thermal motion is included.

a b c (Å): 6.680 6.790 3.590
angles (deg): 90.00 90.00 90.00
Atoms (fractional coordinates):
1 Lu 0.188 0.192 0.000
2 Lu 0.312 0.692 0.000
3 Lu 0.688 0.308 0.000
4 Lu 0.812 0.808 0.000
5 B 0.096 0.907 0.500
6 B 0.153 0.467 0.500
7 B 0.347 0.967 0.500
8 B 0.404 0.407 0.500
9 B 0.596 0.593 0.500
10 B 0.653 0.033 0.500
11 B 0.847 0.533 0.500
12 B 0.904 0.093 0.500
13 C 0.041 0.678 0.500
14 C 0.459 0.178 0.500
15 C 0.541 0.822 0.500
16 C 0.959 0.322 0.500

Main lines, most intense first (10 to 90 degrees two-theta):
24.80 deg, I 100; 39.16 deg, I 88; 38.92 deg, I 76; 29.81 deg, I 70; 26.25 deg, I 67; 36.42 deg, I 66; 29.51 deg, I 66; 36.76 deg, I 63; 26.69 deg, I 52; 45.73 deg, I 38

Record 10
Structure and computed powder diffractogram of LuB2C (a PBE-relaxed structure; copper Kα).
No peak broadening, texture or thermal motion is included.

a b c (Å): 6.696 6.696 3.678
angles (deg): 90.00 90.00 90.00
Atoms (fractional coordinates):
1 Lu 0.197 0.303 0.000
2 Lu 0.303 0.803 0.000
3 Lu 0.697 0.197 0.000
4 Lu 0.803 0.697 0.000
5 B 0.032 0.819 0.500
6 B 0.181 0.032 0.500
7 B 0.319 0.532 0.500
8 B 0.468 0.319 0.500
9 B 0.532 0.681 0.500
10 B 0.681 0.468 0.500
11 B 0.819 0.968 0.500
12 B 0.968 0.181 0.500
13 C 0.083 0.583 0.500
14 C 0.417 0.083 0.500
15 C 0.583 0.917 0.500
16 C 0.917 0.417 0.500

Main lines, most intense first (10 to 90 degrees two-theta):
36.28 deg, I 100; 38.78 deg, I 94; 26.62 deg, I 88; 29.84 deg, I 73; 24.20 deg, I 69; 62.52 deg, I 46; 56.68 deg, I 39; 45.57 deg, I 33; 78.58 deg, I 30; 58.93 deg, I 23

Record 11
Structure and computed powder diffractogram of LuNi2B2C (a PBE-relaxed structure; copper Kα).
No peak broadening, texture or thermal motion is included.

a b c (Å): 5.815 5.815 5.815
angles (deg): 145.32 145.32 49.86
Atoms (fractional coordinates):
1 Lu 0.000 0.000 0.000
2 Ni 0.250 0.750 0.500
3 Ni 0.750 0.250 0.500
4 B 0.359 0.359 0.000
5 B 0.641 0.641 0.000
6 C 0.500 0.500 0.000

Main lines, most intense first (10 to 90 degrees two-theta):
40.59 deg, I 100; 27.08 deg, I 68; 36.40 deg, I 44; 34.00 deg, I 38; 52.83 deg, I 25; 65.33 deg, I 25; 64.33 deg, I 23; 60.36 deg, I 16; 65.85 deg, I 16; 50.66 deg, I 16